# Ba2ZnPb3
Simulated powder XRD pattern, Cu Kα X-rays. Input: the GGA-PBE geometry in Alexandria.

Crystal structure
```
data_Ba2ZnPb3
_chemical_formula_sum 'Ba4 Zn2 Pb6'
_cell_length_a 12.4938
_cell_length_b 5.0874
_cell_length_c 8.3346
_cell_angle_alpha 90.00
_cell_angle_beta 128.60
_cell_angle_gamma 90.00
_space_group_name_H-M_alt 'C 1 m 1'
_space_group_IT_number 8
loop_
_space_group_symop_operation_xyz
'x,y,z'
'x,-y,z'
'x+1/2,y+1/2,z'
'x+1/2,-y+1/2,z'
loop_
_atom_site_label
_atom_site_type_symbol
_atom_site_fract_x
_atom_site_fract_y
_atom_site_fract_z
_atom_site_occupancy
Ba1 Ba 0.0000 0.0000 0.0000 1
Ba2 Ba 0.1057 0.0000 0.6149 1
Zn1 Zn 0.3878 0.0000 0.2376 1
Pb1 Pb 0.1914 0.5000 0.3820 1
Pb2 Pb 0.2454 0.5000 0.0532 1
Pb3 Pb 0.3898 0.0000 0.5980 1
```

The 12 most intense peaks (2θ from 10° to 80°), most intense first:
| Position (°2θ) | d (Å) | I/Imax | (hkl) |
| --- | --- | --- | --- |
| 32.7 | 2.742 | 100.0 | 3 1 0 |
| 27.1 | 3.291 | 92.0 | 1 1 1 |
| 29.6 | 3.021 | 70.3 | 3 1 -2 |
| 35.3 | 2.544 | 60.9 | 0 2 0 |
| 28.8 | 3.097 | 52.8 | 1 1 -2 |
| 34.1 | 2.630 | 31.4 | 4 0 -3 |
| 29.0 | 3.084 | 26.9 | 4 0 -2 |
| 33.1 | 2.708 | 23.5 | 2 0 -3 |
| 40.6 | 2.223 | 23.2 | 1 1 -3 |
| 27.4 | 3.257 | 22.3 | 0 0 2 |
| 49.9 | 1.829 | 21.8 | 4 2 -3 |
| 51.7 | 1.767 | 21.2 | 1 1 3 |


# Ba3ZnPb
Simulated powder XRD pattern, Cu Kα X-rays. Input: the GGA-PBE geometry in Alexandria.

Crystal structure
```
data_Ba3ZnPb
_chemical_formula_sum 'Ba12 Zn4 Pb4'
_cell_length_a 11.3884
_cell_length_b 18.0572
_cell_length_c 4.4990
_cell_angle_alpha 90.00
_cell_angle_beta 90.00
_cell_angle_gamma 90.00
_space_group_name_H-M_alt 'C 2 2 2'
_space_group_IT_number 21
loop_
_space_group_symop_operation_xyz
'x,y,z'
'-x,-y,z'
'x,-y,-z'
'-x,y,-z'
'x+1/2,y+1/2,z'
'-x+1/2,-y+1/2,z'
'x+1/2,-y+1/2,-z'
'-x+1/2,y+1/2,-z'
loop_
_atom_site_label
_atom_site_type_symbol
_atom_site_fract_x
_atom_site_fract_y
_atom_site_fract_z
_atom_site_occupancy
Ba1 Ba 0.0000 0.1565 0.0000 1
Ba2 Ba 0.1910 0.3926 0.4991 1
Zn1 Zn 0.2500 0.2500 0.9982 1
Pb1 Pb 0.0000 0.0000 0.5000 1
Pb2 Pb 0.0000 0.5000 0.0000 1
```

The 12 most intense peaks (2θ from 10° to 80°), most intense first:
| Position (°2θ) | d (Å) | I/Imax | (hkl) |
| --- | --- | --- | --- |
| 25.9 | 3.436 | 100.0 | 1 3 1 |
| 33.7 | 2.661 | 46.4 | 2 6 0 |
| 32.2 | 2.781 | 45.1 | 2 4 1 |
| 31.2 | 2.865 | 42.1 | 3 1 1 |
| 47.2 | 1.925 | 41.6 | 5 3 1 |
| 25.2 | 3.533 | 40.3 | 2 0 1 |
| 24.0 | 3.715 | 27.5 | 3 1 0 |
| 32.8 | 2.734 | 27.3 | 1 5 1 |
| 53.3 | 1.718 | 25.1 | 2 6 2 |
| 18.4 | 4.816 | 24.7 | 2 2 0 |
| 55.7 | 1.650 | 24.5 | 3 9 1 |
| 34.3 | 2.614 | 24.3 | 3 3 1 |


# Ba7Pd5
Simulated powder XRD pattern, Cu Kα X-rays. Input: the GGA-PBE geometry in Alexandria.

Crystal structure
```
data_Ba7Pd5
_chemical_formula_sum 'Ba14 Pd10'
_cell_length_a 15.1238
_cell_length_b 4.5211
_cell_length_c 13.8207
_cell_angle_alpha 90.00
_cell_angle_beta 105.24
_cell_angle_gamma 90.00
_space_group_name_H-M_alt 'C 1 2/m 1'
_space_group_IT_number 12
loop_
_space_group_symop_operation_xyz
'x,y,z'
'-x,-y,-z'
'-x,y,-z'
'x,-y,z'
'x+1/2,y+1/2,z'
'-x+1/2,-y+1/2,-z'
'-x+1/2,y+1/2,-z'
'x+1/2,-y+1/2,z'
loop_
_atom_site_label
_atom_site_type_symbol
_atom_site_fract_x
_atom_site_fract_y
_atom_site_fract_z
_atom_site_occupancy
Ba1 Ba 0.0000 0.0000 0.0000 1
Ba2 Ba 0.0365 0.5000 0.2847 1
Ba3 Ba 0.1559 0.0000 0.5511 1
Ba4 Ba 0.2412 0.0000 0.8577 1
Pd1 Pd 0.0000 0.5000 0.5000 1
Pd2 Pd 0.1168 0.5000 0.9252 1
Pd3 Pd 0.1948 0.0000 0.3115 1
```

The 12 most intense peaks (2θ from 10° to 80°), most intense first:
| Position (°2θ) | d (Å) | I/Imax | (hkl) |
| --- | --- | --- | --- |
| 27.9 | 3.203 | 100.0 | 3 1 -2 |
| 26.5 | 3.357 | 84.5 | 3 1 -1 |
| 26.1 | 3.418 | 72.9 | 2 0 3 |
| 28.9 | 3.087 | 67.8 | 3 1 1 |
| 26.3 | 3.387 | 67.4 | 2 0 -4 |
| 39.9 | 2.261 | 64.2 | 0 2 0 |
| 26.9 | 3.311 | 50.7 | 3 1 0 |
| 30.6 | 2.917 | 40.6 | 3 1 -3 |
| 38.8 | 2.322 | 39.5 | 5 1 1 |
| 35.3 | 2.545 | 39.1 | 1 1 4 |
| 32.6 | 2.745 | 38.6 | 1 1 -4 |
| 39.7 | 2.269 | 37.3 | 6 0 -4 |


# Ba2Pd
Simulated powder XRD pattern, Cu Kα X-rays. Input: the GGA-PBE geometry in Alexandria.

Crystal structure
```
data_Ba2Pd
_chemical_formula_sum 'Ba8 Pd4'
_cell_length_a 8.6191
_cell_length_b 5.1633
_cell_length_c 10.4479
_cell_angle_alpha 90.00
_cell_angle_beta 90.00
_cell_angle_gamma 90.00
_space_group_name_H-M_alt 'P n m a'
_space_group_IT_number 62
loop_
_space_group_symop_operation_xyz
'x,y,z'
'-x,-y,-z'
'-x+1/2,-y,z+1/2'
'x+1/2,y,-z+1/2'
'x+1/2,-y+1/2,-z+1/2'
'-x+1/2,y+1/2,z+1/2'
'-x,y+1/2,-z'
'x,-y+1/2,z'
loop_
_atom_site_label
_atom_site_type_symbol
_atom_site_fract_x
_atom_site_fract_y
_atom_site_fract_z
_atom_site_occupancy
Ba1 Ba 0.0110 0.2500 0.1616 1
Ba2 Ba 0.1429 0.2500 0.5775 1
Pd1 Pd 0.2446 0.2500 0.9008 1
```

The 12 most intense peaks (2θ from 10° to 80°), most intense first:
| Position (°2θ) | d (Å) | I/Imax | (hkl) |
| --- | --- | --- | --- |
| 26.4 | 3.378 | 100.0 | 1 1 2 |
| 28.3 | 3.154 | 89.2 | 2 1 1 |
| 34.7 | 2.582 | 50.6 | 0 2 0 |
| 31.0 | 2.887 | 49.2 | 0 1 3 |
| 26.9 | 3.309 | 33.8 | 2 1 0 |
| 57.0 | 1.615 | 27.7 | 2 0 6 |
| 27.6 | 3.229 | 26.6 | 1 0 3 |
| 37.5 | 2.399 | 24.9 | 2 1 3 |
| 32.3 | 2.770 | 23.9 | 3 0 1 |
| 50.4 | 1.810 | 21.3 | 3 1 4 |
| 35.7 | 2.517 | 20.6 | 3 0 2 |
| 57.4 | 1.606 | 20.1 | 1 3 2 |


# Ba5Pd6
Simulated powder XRD pattern, Cu Kα X-rays. Input: the GGA-PBE geometry in Alexandria.

Crystal structure
```
data_Ba5Pd6
_chemical_formula_sum 'Ba10 Pd12'
_cell_length_a 4.6567
_cell_length_b 31.5072
_cell_length_c 4.5406
_cell_angle_alpha 90.00
_cell_angle_beta 90.00
_cell_angle_gamma 90.00
_space_group_name_H-M_alt 'C m m m'
_space_group_IT_number 65
_space_group_name_Hall '-C 2 2'
loop_
_atom_site_label
_atom_site_type_symbol
_atom_site_fract_x
_atom_site_fract_y
_atom_site_fract_z
_atom_site_occupancy
Ba1 Ba 0.0000 0.0000 0.0000 1
Ba2 Ba 0.0000 0.1972 0.5000 1
Ba3 Ba 0.0000 0.3868 0.0000 1
Pd1 Pd 0.0000 0.0871 0.5000 1
Pd2 Pd 0.0000 0.2758 0.0000 1
Pd3 Pd 0.0000 0.4579 0.5000 1
```

The 12 most intense peaks (2θ from 10° to 80°), most intense first:
| Position (°2θ) | d (Å) | I/Imax | (hkl) |
| --- | --- | --- | --- |
| 28.7 | 3.106 | 100.0 | 1 3 1 |
| 30.0 | 2.975 | 52.2 | 0 8 1 |
| 36.8 | 2.440 | 34.5 | 1 11 0 |
| 34.0 | 2.635 | 34.4 | 1 7 1 |
| 38.7 | 2.328 | 33.0 | 2 0 0 |
| 39.7 | 2.270 | 30.8 | 0 0 2 |
| 37.8 | 2.382 | 28.6 | 1 9 1 |
| 49.7 | 1.834 | 25.2 | 2 8 1 |
| 56.6 | 1.625 | 21.5 | 2 0 2 |
| 55.3 | 1.662 | 21.0 | 1 11 2 |
| 70.4 | 1.337 | 14.0 | 2 18 1 |
| 56.3 | 1.633 | 13.7 | 0 18 1 |


# BaPd5
Simulated powder XRD pattern, Cu Kα X-rays. Input: the GGA-PBE geometry in Alexandria.

Crystal structure
```
data_BaPd5
_chemical_formula_sum 'Ba1 Pd5'
_cell_length_a 5.6047
_cell_length_b 5.6047
_cell_length_c 4.4089
_cell_angle_alpha 90.00
_cell_angle_beta 90.00
_cell_angle_gamma 120.00
_space_group_name_H-M_alt 'P 6/m m m'
_space_group_IT_number 191
_space_group_name_Hall '-P 6 2'
loop_
_atom_site_label
_atom_site_type_symbol
_atom_site_fract_x
_atom_site_fract_y
_atom_site_fract_z
_atom_site_occupancy
Ba1 Ba 0.0000 0.0000 0.0000 1
Pd1 Pd 0.0000 0.5000 0.5000 1
Pd2 Pd 0.3333 0.6667 0.0000 1
```

The 12 most intense peaks (2θ from 10° to 80°), most intense first:
| Position (°2θ) | d (Å) | I/Imax | (hkl) |
| --- | --- | --- | --- |
| 38.0 | 2.365 | 100.0 | 1 1 1 |
| 42.5 | 2.126 | 31.9 | 2 0 1 |
| 37.0 | 2.427 | 31.4 | 2 0 0 |
| 40.9 | 2.204 | 29.4 | 0 0 2 |
| 61.0 | 1.519 | 24.6 | 3 0 1 |
| 31.9 | 2.802 | 22.3 | 1 1 0 |
| 66.8 | 1.401 | 20.3 | 2 2 0 |
| 27.3 | 3.264 | 20.1 | 1 0 1 |
| 56.4 | 1.632 | 18.2 | 2 0 2 |
| 72.6 | 1.302 | 14.6 | 1 1 3 |
| 18.3 | 4.854 | 11.9 | 1 0 0 |
| 52.8 | 1.733 | 10.5 | 1 1 2 |


# Ba2Pd7
Simulated powder XRD pattern, Cu Kα X-rays. Input: the GGA-PBE geometry in Alexandria.

Crystal structure
```
data_Ba2Pd7
_chemical_formula_sum 'Ba12 Pd42'
_cell_length_a 5.6477
_cell_length_b 5.6477
_cell_length_c 40.5907
_cell_angle_alpha 90.00
_cell_angle_beta 90.00
_cell_angle_gamma 120.00
_space_group_name_H-M_alt 'R -3 m'
_space_group_IT_number 166
_space_group_name_Hall '-R 3 2"'
loop_
_atom_site_label
_atom_site_type_symbol
_atom_site_fract_x
_atom_site_fract_y
_atom_site_fract_z
_atom_site_occupancy
Ba1 Ba 0.0000 0.0000 0.0511 1
Ba2 Ba 0.0000 0.0000 0.1475 1
Pd1 Pd 0.0000 0.0000 0.2788 1
Pd2 Pd 0.0000 0.0000 0.3873 1
Pd3 Pd 0.0000 0.0000 0.5000 1
Pd4 Pd 0.0000 0.5000 0.0000 1
Pd5 Pd 0.0007 0.5004 0.8909 1
```

The 12 most intense peaks (2θ from 10° to 80°), most intense first:
| Position (°2θ) | d (Å) | I/Imax | (hkl) |
| --- | --- | --- | --- |
| 37.6 | 2.393 | 100.0 | 1 1 9 |
| 40.0 | 2.255 | 31.0 | 0 0 18 |
| 36.8 | 2.441 | 29.3 | 0 2 1 |
| 31.7 | 2.824 | 28.5 | 1 1 0 |
| 66.2 | 1.412 | 25.0 | 2 2 0 |
| 60.4 | 1.533 | 24.5 | 3 0 9 |
| 41.0 | 2.203 | 24.4 | 2 0 8 |
| 28.6 | 3.124 | 17.0 | 1 0 10 |
| 30.3 | 2.946 | 16.5 | 0 1 11 |
| 43.2 | 2.095 | 9.5 | 0 2 10 |
| 37.0 | 2.428 | 9.5 | 2 0 2 |
| 42.1 | 2.146 | 9.4 | 0 1 17 |


# Ba3Pd
Simulated powder XRD pattern, Cu Kα X-rays. Input: the GGA-PBE geometry in Alexandria.

Crystal structure
```
data_Ba3Pd
_chemical_formula_sum 'Ba6 Pd2'
_cell_length_a 4.2713
_cell_length_b 12.2337
_cell_length_c 7.5205
_cell_angle_alpha 90.00
_cell_angle_beta 90.00
_cell_angle_gamma 90.00
_space_group_name_H-M_alt 'I m m 2'
_space_group_IT_number 44
loop_
_space_group_symop_operation_xyz
'x,y,z'
'-x,-y,z'
'-x,y,z'
'x,-y,z'
'x+1/2,y+1/2,z+1/2'
'-x+1/2,-y+1/2,z+1/2'
'-x+1/2,y+1/2,z+1/2'
'x+1/2,-y+1/2,z+1/2'
loop_
_atom_site_label
_atom_site_type_symbol
_atom_site_fract_x
_atom_site_fract_y
_atom_site_fract_z
_atom_site_occupancy
Ba1 Ba 0.0000 0.0000 0.0000 1
Ba2 Ba 0.0000 0.1730 0.4865 1
Pd1 Pd 0.0000 0.5000 0.8183 1
```

The 12 most intense peaks (2θ from 10° to 80°), most intense first:
| Position (°2θ) | d (Å) | I/Imax | (hkl) |
| --- | --- | --- | --- |
| 28.1 | 3.175 | 100.0 | 1 2 1 |
| 24.8 | 3.585 | 72.6 | 0 3 1 |
| 32.6 | 2.750 | 62.1 | 1 1 2 |
| 42.3 | 2.136 | 51.6 | 2 0 0 |
| 23.7 | 3.760 | 38.4 | 0 0 2 |
| 38.1 | 2.361 | 31.3 | 1 4 1 |
| 13.8 | 6.407 | 30.4 | 0 1 1 |
| 49.3 | 1.849 | 25.1 | 1 5 2 |
| 61.4 | 1.510 | 22.6 | 2 3 3 |
| 44.4 | 2.039 | 21.7 | 0 6 0 |
| 49.7 | 1.835 | 21.7 | 2 3 1 |
| 30.3 | 2.950 | 19.7 | 1 3 0 |